The following is a computed powder XRD pattern of CsMg14Zr. It was derived from the PBE geometry in the Materials Project, using Cu Ka.

Most intense lines, 10 to 90 degrees two-theta, low angle first:
15.3°, I 41
23.0°, I 38
30.9°, I 30
34.4°, I 23
35.5°, I 100
66.5°, I 19

Atomic structure:
```
CsMg14Zr
1.0
6.683 0.000 0.000
-3.342 5.788 0.000
0.000 0.000 10.420
Cs Mg Zr
1 14 1
Cartesian
0.000 0.000 0.000 Cs
-1.624 2.921 0.000 Mg
0.000 1.992 2.785 Mg
0.000 1.992 7.634 Mg
-1.617 4.792 2.785 Mg
-1.617 4.792 7.634 Mg
1.624 2.921 0.000 Mg
0.000 5.733 0.000 Mg
3.342 0.011 5.210 Mg
1.680 2.888 5.210 Mg
1.617 4.792 2.785 Mg
1.617 4.792 7.634 Mg
3.342 1.929 2.573 Mg
3.342 1.929 7.847 Mg
5.003 2.888 5.210 Mg
0.000 0.000 5.210 Zr
```